For Hf4Rh2N, a crystal structure in Alexandria, relaxed with GGA-PBE gives the theoretical powder X-ray diffraction pattern in this record (λ = 1.5418 Å (Cu Kα)).
No peak broadening, texture or thermal motion is included.

Top 12 peaks for 2θ from 5° to 70°, sorted by position:
2θ/deg, d (Å), intensity, h k l
32.49, 2.756, 713, 0 2 1
34.93, 2.569, 489, 1 2 1
35.84, 2.505, 465, 2 3 0
36.15, 2.485, 860, 1 4 0
38.67, 2.329, 1000, 2 1 1
39.00, 2.310, 332, 3 1 0
39.91, 2.259, 578, 1 3 1
41.49, 2.177, 250, 2 2 1
41.80, 2.161, 285, 3 2 0
57.13, 1.612, 262, 0 0 2
61.19, 1.515, 328, 1 6 1
69.50, 1.353, 259, 1 4 2

Crystal structure
Lattice parameters (Å, degrees): 7.099 10.610 3.225 90.00 90.00 90.00
Element x y z (fractional)
Hf1 0.136 0.196 0.000
Hf2 0.197 0.942 0.500
Hf3 0.303 0.442 0.500
Hf4 0.364 0.696 0.000
Hf5 0.636 0.304 0.000
Hf6 0.697 0.558 0.500
Hf7 0.803 0.058 0.500
Hf8 0.864 0.804 0.000
Rh1 0.058 0.639 0.500
Rh2 0.442 0.139 0.500
Rh3 0.558 0.861 0.500
Rh4 0.942 0.361 0.500
N1 0.000 0.000 0.000
N2 0.500 0.500 0.000